Record 1
For Ni4SbRu, a DFT-relaxed cell (GGA-PBE, Alexandria) gives the theoretical X-ray diffraction stick pattern in this record (λ = 1.5418 Å (Cu Kα)).

Crystal structure
```
data_Ni4SbRu
_chemical_formula_sum 'Ni16 Sb4 Ru4'
_symmetry_space_group_name_H-M 'F -4 3 m'
_symmetry_Int_Tables_number 216
_symmetry_space_group_name_Hall 'F -4 2 3'
_cell_length_a 6.767
_cell_length_b 6.767
_cell_length_c 6.767
_cell_angle_alpha 90.00
_cell_angle_beta 90.00
_cell_angle_gamma 90.00
loop_
_atom_site_label
_atom_site_type_symbol
_atom_site_fract_x
_atom_site_fract_y
_atom_site_fract_z
Ni1 Ni 0.124 0.124 0.124
Sb1 Sb 0.000 0.000 0.500
Ru1 Ru 0.250 0.250 0.750
```

The 6 most intense peaks (2θ from 10° to 90°), in order of rising 2θ:
2θ 37.60, I = 49, hkl 2 2 0
2θ 44.40, I = 100, hkl 3 1 1
2θ 46.49, I = 24, hkl 2 2 2
2θ 67.85, I = 17, hkl 4 2 2
2θ 72.60, I = 29, hkl 5 1 1
2θ 80.25, I = 23, hkl 4 4 0



Record 2
For Si23Sb, a DFT-relaxed cell (GGA-PBE, Alexandria) gives the theoretical X-ray diffraction stick pattern in this record (λ = 1.5418 Å (Cu Kα)).

Crystal structure
```
data_Si23Sb
_chemical_formula_sum 'Si46 Sb2'
_symmetry_space_group_name_H-M 'P m -3 n'
_symmetry_Int_Tables_number 223
_symmetry_space_group_name_Hall '-P 4n 2 3'
_cell_length_a 10.235
_cell_length_b 10.235
_cell_length_c 10.235
_cell_angle_alpha 90.00
_cell_angle_beta 90.00
_cell_angle_gamma 90.00
loop_
_atom_site_label
_atom_site_type_symbol
_atom_site_fract_x
_atom_site_fract_y
_atom_site_fract_z
Si1 Si 0.000 0.117 0.309
Si2 Si 0.000 0.250 0.500
Si3 Si 0.183 0.183 0.183
Sb1 Sb 0.000 0.000 0.000
```

The 6 most intense peaks (2θ from 10° to 90°), in order of rising 2θ:
2θ 12.23, I = 86, hkl 1 1 0
2θ 19.39, I = 34, hkl 2 1 0
2θ 32.74, I = 100, hkl 3 2 1
2θ 37.27, I = 26, hkl 3 3 0
2θ 53.74, I = 19, hkl 6 0 0
2θ 55.33, I = 41, hkl 5 3 2



Repeat the first record exactly.
For Ni4SbRu, a DFT-relaxed cell (GGA-PBE, Alexandria) gives the theoretical X-ray diffraction stick pattern in this record (λ = 1.5418 Å (Cu Kα)).

Crystal structure
```
data_Ni4SbRu
_chemical_formula_sum 'Ni16 Sb4 Ru4'
_symmetry_space_group_name_H-M 'F -4 3 m'
_symmetry_Int_Tables_number 216
_symmetry_space_group_name_Hall 'F -4 2 3'
_cell_length_a 6.767
_cell_length_b 6.767
_cell_length_c 6.767
_cell_angle_alpha 90.00
_cell_angle_beta 90.00
_cell_angle_gamma 90.00
loop_
_atom_site_label
_atom_site_type_symbol
_atom_site_fract_x
_atom_site_fract_y
_atom_site_fract_z
Ni1 Ni 0.124 0.124 0.124
Sb1 Sb 0.000 0.000 0.500
Ru1 Ru 0.250 0.250 0.750
```

The 6 most intense peaks (2θ from 10° to 90°), in order of rising 2θ:
2θ 37.60, I = 49, hkl 2 2 0
2θ 44.40, I = 100, hkl 3 1 1
2θ 46.49, I = 24, hkl 2 2 2
2θ 67.85, I = 17, hkl 4 2 2
2θ 72.60, I = 29, hkl 5 1 1
2θ 80.25, I = 23, hkl 4 4 0